Starting from a structure optimized by DFT (PBE), the PXRD pattern of Ba2Zr6BCl17 was simulated for Cu Kα (λ = 1.5418 Å).
No peak broadening, texture or thermal motion is included.

Structure:
a = 9.7428 Å, b = 9.7428 Å, c = 9.7428 Å
α = 105.26°, β = 105.26°, γ = 118.27°
Atoms (fractional coordinates):
Ba: 0.2500 0.7500 0.5000
Ba: 0.7500 0.2500 0.5000
Zr: 0.0634 0.1846 0.2480
Zr: 0.1846 0.9366 0.1211
Zr: 0.2336 0.2336 0.0000
Zr: 0.7664 0.7664 0.0000
Zr: 0.8154 0.0634 0.8789
Zr: 0.9366 0.8154 0.7520
B: 0.0000 0.0000 0.0000
Cl: 0.0483 0.3250 0.8635
Cl: 0.1280 0.4047 0.5327
Cl: 0.1342 0.7246 0.8588
Cl: 0.1847 0.0483 0.7233
Cl: 0.2754 0.1342 0.4095
Cl: 0.3250 0.4614 0.2767
Cl: 0.4047 0.8720 0.2767
Cl: 0.4614 0.1847 0.1365
Cl: 0.5000 0.5000 0.0000
Cl: 0.5386 0.8153 0.8635
Cl: 0.5953 0.1280 0.7233
Cl: 0.6750 0.5386 0.7233
Cl: 0.7246 0.8658 0.5905
Cl: 0.8153 0.9517 0.2767
Cl: 0.8658 0.2754 0.1412
Cl: 0.8720 0.5953 0.4673
Cl: 0.9517 0.6750 0.1365

Most intense lines, 5 to 70 degrees two-theta, low angle first:
2θ/deg	I (rel.)
11.59	100
14.98	69
23.30	50
27.82	38
32.47	25
33.90	69
35.27	41
35.94	47
38.51	43
50.23	40


Starting from a structure optimized by DFT (PBE), the PXRD pattern of Nd4CI3Cl2 was simulated for Cu Kα (λ = 1.5418 Å).
No peak broadening, texture or thermal motion is included.

Structure:
a = 9.6874 Å, b = 9.6874 Å, c = 8.7819 Å
α = 101.31°, β = 101.31°, γ = 24.01°
Atoms (fractional coordinates):
Nd: 0.0012 0.0012 0.3042
Nd: 0.3640 0.3640 0.4301
Nd: 0.6360 0.6360 0.5699
Nd: 0.9988 0.9988 0.6958
C: 0.5000 0.5000 0.5000
I: 0.1733 0.1733 0.3143
I: 0.5000 0.5000 0.0000
I: 0.8267 0.8267 0.6857
Cl: 0.1509 0.1509 0.8019
Cl: 0.8491 0.8491 0.1981

Most intense lines, 5 to 70 degrees two-theta, low angle first:
2θ/deg	I (rel.)
9.53	37
10.28	66
23.53	17
28.85	43
30.11	100
32.92	30
41.71	26
42.66	24
44.99	19
62.57	18